# Sr3In2N4
Theoretical X-ray powder pattern, Cu Kα (λ = 1.5418 Å). Input: DFT lattice parameters and positions (GGA-PBE).
Peak positions follow from Bragg's law for the DFT cell and can differ from measured ones.

Top 10 peaks for 10 to 90 degrees two-theta, by intensity:
2θ/deg, intensity
30.99, 100
25.69, 42
32.03, 39
29.64, 34
16.82, 31
33.55, 28
36.52, 28
34.10, 27
37.20, 22
45.26, 20

Crystal structure
a = 6.262 Å, b = 11.130 Å, c = 9.760 Å
α = 90.00°, β = 90.00°, γ = 90.00°
Space group Pnna (No. 52)
Asymmetric unit:
Sr: 0.109 0.156 0.089 (multiplicity 8)
Sr: 0.250 0.000 0.403 (multiplicity 4)
In: 0.148 0.250 0.750 (multiplicity 4)
In: 0.250 0.000 0.735 (multiplicity 4)
N: 0.016 0.594 0.342 (multiplicity 8)
N: 0.102 0.647 0.881 (multiplicity 8)

# Sr4In2N
Theoretical X-ray powder pattern, Cu Kα (λ = 1.5418 Å). Input: DFT lattice parameters and positions (GGA-PBE).
Peak positions follow from Bragg's law for the DFT cell and can differ from measured ones.

Top 10 peaks for 10 to 90 degrees two-theta, by intensity:
2θ/deg, intensity
29.57, 100
33.97, 40
58.10, 29
49.48, 23
34.88, 16
48.80, 14
61.38, 12
59.31, 10
80.27, 8
81.57, 6

Crystal structure
a = 5.278 Å, b = 5.278 Å, c = 30.864 Å
α = 90.00°, β = 90.00°, γ = 90.00°
Space group I4_1/amd (No. 141, origin choice 2)
Asymmetric unit:
Sr: 0.000 0.250 0.125 (multiplicity 8)
Sr: 0.000 0.250 0.293 (multiplicity 8)
In: 0.000 0.250 0.784 (multiplicity 8)
N: 0.000 0.250 0.375 (multiplicity 4)

# Sr3InN3
Theoretical X-ray powder pattern, Cu Kα (λ = 1.5418 Å). Input: DFT lattice parameters and positions (GGA-PBE).
Peak positions follow from Bragg's law for the DFT cell and can differ from measured ones.

Top 10 peaks for 10 to 90 degrees two-theta, by intensity:
2θ/deg, intensity
30.96, 100
27.96, 81
32.68, 62
39.78, 51
52.40, 44
34.92, 33
61.86, 30
38.71, 28
48.57, 25
26.22, 24

Crystal structure
a = 7.8489 Å, b = 7.8489 Å, c = 5.4810 Å
α = 90.00°, β = 90.00°, γ = 120.00°
Space group P6_3/m (No. 176)
Asymmetric unit:
Sr: 0.0695 0.3487 0.2500 (multiplicity 6)
In: 0.3333 0.6667 0.7500 (multiplicity 2)
N: 0.0769 0.3803 0.7500 (multiplicity 6)

# Sr2InN2
Theoretical X-ray powder pattern, Cu Kα (λ = 1.5418 Å). Input: DFT lattice parameters and positions (GGA-PBE).
Peak positions follow from Bragg's law for the DFT cell and can differ from measured ones.

Top 10 peaks for 10 to 90 degrees two-theta, by intensity:
2θ/deg, intensity
33.21, 100
31.06, 54
28.60, 36
32.87, 24
27.53, 22
47.45, 21
37.92, 17
51.29, 13
69.71, 12
39.55, 11

Crystal structure
a = 5.393 Å, b = 12.024 Å, c = 12.911 Å
α = 90.00°, β = 90.00°, γ = 90.00°
Space group Cmce (No. 64)
Asymmetric unit:
Sr: 0.000 0.037 0.142 (multiplicity 8)
Sr: 0.000 0.141 0.549 (multiplicity 8)
In: 0.000 0.237 0.321 (multiplicity 8)
N: 0.000 0.062 0.361 (multiplicity 8)
N: 0.000 0.154 0.949 (multiplicity 8)

# Tb3InN
Theoretical X-ray powder pattern, Cu Kα (λ = 1.5418 Å). Input: DFT lattice parameters and positions (GGA-PBE).
Peak positions follow from Bragg's law for the DFT cell and can differ from measured ones.

Top 10 peaks for 10 to 90 degrees two-theta, by intensity:
2θ/deg, intensity
31.97, 100
37.08, 55
63.65, 42
53.45, 38
87.75, 18
66.84, 13
78.99, 6
18.30, 3
41.65, 1
56.98, 1

Crystal structure
a = 4.848 Å, b = 4.848 Å, c = 4.848 Å
α = 90.00°, β = 90.00°, γ = 90.00°
Space group Pm-3m (No. 221)
Asymmetric unit:
Tb: 0.000 0.000 0.500 (multiplicity 3)
In: 0.500 0.500 0.500 (multiplicity 1)
N: 0.000 0.000 0.000 (multiplicity 1)

# Ti3InN
Theoretical X-ray powder pattern, Cu Kα (λ = 1.5418 Å). Input: DFT lattice parameters and positions (GGA-PBE).
Peak positions follow from Bragg's law for the DFT cell and can differ from measured ones.

Top 10 peaks for 10 to 90 degrees two-theta, by intensity:
2θ/deg, intensity
37.06, 100
43.06, 59
62.53, 35
74.97, 34
30.08, 30
21.15, 14
53.42, 12
78.93, 11
48.45, 8
86.71, 6

Crystal structure
a = 4.202 Å, b = 4.202 Å, c = 4.202 Å
α = 90.00°, β = 90.00°, γ = 90.00°
Space group Pm-3m (No. 221)
Asymmetric unit:
Ti: 0.000 0.000 0.500 (multiplicity 3)
In: 0.500 0.500 0.500 (multiplicity 1)
N: 0.000 0.000 0.000 (multiplicity 1)

# Y2InN3
Theoretical X-ray powder pattern, Cu Kα (λ = 1.5418 Å). Input: DFT lattice parameters and positions (GGA-PBE).
Peak positions follow from Bragg's law for the DFT cell and can differ from measured ones.

Top 10 peaks for 10 to 90 degrees two-theta, by intensity:
2θ/deg, intensity
31.84, 100
30.28, 93
33.70, 80
35.94, 50
26.27, 43
32.33, 42
29.63, 37
29.33, 32
52.75, 31
36.63, 28

Crystal structure
a = 5.958 Å, b = 10.722 Å, c = 12.289 Å
α = 90.00°, β = 97.68°, γ = 90.00°
Space group C2/c (No. 15)
Asymmetric unit:
Y: 0.197 0.113 0.433 (multiplicity 8)
Y: 0.223 0.208 0.866 (multiplicity 8)
In: 0.216 0.495 0.335 (multiplicity 8)
N: 0.000 0.049 0.750 (multiplicity 4)
N: 0.000 0.361 0.750 (multiplicity 4)
N: 0.117 0.318 0.397 (multiplicity 8)
N: 0.169 0.108 0.021 (multiplicity 8)

# Zr2InN
Theoretical X-ray powder pattern, Cu Kα (λ = 1.5418 Å). Input: DFT lattice parameters and positions (GGA-PBE).
Peak positions follow from Bragg's law for the DFT cell and can differ from measured ones.

Top 10 peaks for 10 to 90 degrees two-theta, by intensity:
2θ/deg, intensity
36.10, 100
67.91, 33
31.10, 21
55.33, 20
36.22, 20
65.07, 17
48.47, 16
76.59, 4
64.84, 2
76.87, 2

Crystal structure
a = 3.3206 Å, b = 3.3206 Å, c = 14.8822 Å
α = 90.00°, β = 90.00°, γ = 120.00°
Space group P6_3/mmc (No. 194)
Asymmetric unit:
Zr: 0.3333 0.6667 0.0843 (multiplicity 4)
In: 0.3333 0.6667 0.7500 (multiplicity 2)
N: 0.0000 0.0000 0.0000 (multiplicity 2)

# ZrInN2
Theoretical X-ray powder pattern, Cu Kα (λ = 1.5418 Å). Input: DFT lattice parameters and positions (GGA-PBE).
Peak positions follow from Bragg's law for the DFT cell and can differ from measured ones.

Top 10 peaks for 10 to 90 degrees two-theta, by intensity:
2θ/deg, intensity
31.36, 100
32.35, 54
57.08, 36
46.40, 26
55.20, 25
65.45, 12
43.45, 11
77.05, 9
76.52, 7
72.19, 7

Crystal structure
a = 3.914 Å, b = 3.914 Å, c = 8.331 Å
α = 90.00°, β = 90.00°, γ = 90.00°
Space group P4/nmm (No. 129, origin choice 2)
Asymmetric unit:
Zr: 0.250 0.250 0.108 (multiplicity 2)
In: 0.250 0.250 0.626 (multiplicity 2)
N: 0.250 0.250 0.361 (multiplicity 2)
N: 0.250 0.750 0.000 (multiplicity 2)

# Na2In
Theoretical X-ray powder pattern, Cu Kα (λ = 1.5418 Å). Input: DFT lattice parameters and positions (GGA-PBE).
Peak positions follow from Bragg's law for the DFT cell and can differ from measured ones.

Top 10 peaks for 10 to 90 degrees two-theta, by intensity:
2θ/deg, intensity
14.00, 100
33.08, 79
34.45, 62
14.80, 51
31.54, 48
11.79, 47
33.56, 47
36.69, 43
23.70, 30
34.63, 23

Crystal structure
a = 8.918 Å, b = 13.910 Å, c = 11.749 Å
α = 90.00°, β = 90.00°, γ = 90.00°
Space group C222_1 (No. 20)
Asymmetric unit:
Na: 0.000 0.066 0.250 (multiplicity 4)
Na: 0.087 0.137 0.583 (multiplicity 8)
Na: 0.091 0.500 0.000 (multiplicity 4)
Na: 0.196 0.302 0.831 (multiplicity 8)
Na: 0.225 0.378 0.542 (multiplicity 8)
In: 0.044 0.287 0.121 (multiplicity 8)
In: 0.175 0.448 0.277 (multiplicity 8)

# NaIn3
Theoretical X-ray powder pattern, Cu Kα (λ = 1.5418 Å). Input: DFT lattice parameters and positions (GGA-PBE).
Peak positions follow from Bragg's law for the DFT cell and can differ from measured ones.

Top 10 peaks for 10 to 90 degrees two-theta, by intensity:
2θ/deg, intensity
32.73, 100
38.45, 32
65.95, 25
54.44, 23
21.06, 18
37.02, 18
64.02, 14
68.61, 11
89.75, 11
55.51, 11

Crystal structure
a = 4.682 Å, b = 4.682 Å, c = 9.714 Å
α = 90.00°, β = 90.00°, γ = 90.00°
Space group I4/mmm (No. 139)
Asymmetric unit:
Na: 0.000 0.000 0.000 (multiplicity 2)
In: 0.000 0.000 0.500 (multiplicity 2)
In: 0.000 0.500 0.250 (multiplicity 4)

# NaIn3
Theoretical X-ray powder pattern, Cu Kα (λ = 1.5418 Å). Input: DFT lattice parameters and positions (GGA-PBE).
Peak positions follow from Bragg's law for the DFT cell and can differ from measured ones.

Top 10 peaks for 10 to 90 degrees two-theta, by intensity:
2θ/deg, intensity
32.77, 100
38.02, 50
65.38, 38
54.85, 33
18.74, 18
26.63, 15
68.68, 11
42.71, 9
47.02, 7
81.29, 5

Crystal structure
a = 4.734 Å, b = 4.734 Å, c = 4.734 Å
α = 90.00°, β = 90.00°, γ = 90.00°
Space group Pm-3m (No. 221)
Asymmetric unit:
Na: 0.000 0.000 0.000 (multiplicity 1)
In: 0.000 0.500 0.500 (multiplicity 3)